Diffraction record for AcPmSeO2. The PXRD pattern is theoretical, not measured: it uses the GGA-PBE geometry in Alexandria and Cu Kα (weighted mean of Kα1 and Kα2).
Neutral-atom scattering factors, no anomalous dispersion.

Largest 10 diffraction maxima, by intensity, 2θ from 15° to 90°:
2θ 30.3, intensity 100; 2θ 31.2, intensity 41; 2θ 55.0, intensity 38; 2θ 23.0, intensity 21; 2θ 44.8, intensity 21; 2θ 53.2, intensity 20; 2θ 42.1, intensity 12; 2θ 88.9, intensity 10; 2θ 63.0, intensity 10; 2θ 73.5, intensity 8

Structural model:
```
5
Lattice="-2.025 2.025 6.472 2.025 -2.025 6.472 2.025 2.025 -6.472" Properties=species:S:1:pos:R:3 pbc="T T T"
Ac 0.000 0.000 0.000
Pm 0.000 0.000 3.962
Se 0.000 0.000 8.458
O 2.025 0.000 5.102
O 0.000 2.025 5.102
```